For AcAl2Zn, DFT lattice parameters and positions (GGA-PBE) gives the theoretical powder diffraction line list in this record (λ = 1.5418 Å (Cu Kα)).
Lines closer than 0.1° are merged.

Peak list (10 most intense, 2θ = 5–70°, by angle)
| 2theta | I (rel.) |
| --- | --- |
| 20.24 | 63 |
| 20.44 | 34 |
| 24.04 | 65 |
| 32.02 | 35 |
| 32.64 | 94 |
| 33.15 | 100 |
| 38.18 | 33 |
| 41.55 | 38 |
| 50.65 | 31 |
| 52.13 | 29 |

Atomic structure:
Cell: 7.077 6.068 6.068 Å, 45.73 90.00 90.00°
Element x y z (fractional)
Ac: 0.000 0.000 0.000
Ac: 0.500 0.207 0.207
Al: 0.000 0.297 0.297
Al: 0.313 0.495 0.495
Al: 0.500 0.914 0.914
Al: 0.687 0.495 0.495
Zn: 0.184 0.721 0.721
Zn: 0.816 0.721 0.721